No. 1
Simulated powder X-ray diffraction pattern of TlHgPb2Br8 for Cu Kα (weighted mean of Kα1 and Kα2), from a DFT-relaxed cell (GGA-PBE, Alexandria).
Intensities are scaled so that the largest is 100.

Main lines, in order of rising 2θ (2θ from 15° to 90°):
- 17.6 deg, rel. 96
- 17.8 deg, rel. 100
- 23.2 deg, rel. 48
- 24.6 deg, rel. 37
- 34.1 deg, rel. 37
- 34.6 deg, rel. 40
- 35.5 deg, rel. 48
- 35.7 deg, rel. 30
- 36.6 deg, rel. 35
- 40.7 deg, rel. 36
- 41.2 deg, rel. 47
- 43.0 deg, rel. 30

Structure:
```
TlHgPb2Br8
1.0
6.8768 0.0000 0.0000
-0.0718 7.3673 0.0000
-0.5188 -0.4187 8.8590
Tl Hg Pb Br
1 1 2 8
direct
0.0000 0.0000 0.0000
0.0000 0.0000 0.5000
0.4976 0.4915 0.2554
0.5024 0.5085 0.7446
0.2183 0.1393 0.7240
0.2527 0.6546 0.4932
0.2571 0.1638 0.2540
0.2579 0.6695 0.9969
0.7421 0.3305 0.0031
0.7429 0.8362 0.7460
0.7473 0.3454 0.5068
0.7817 0.8607 0.2760
```

No. 2
Simulated powder X-ray diffraction pattern of LiCe2Tm for Cu Kα (weighted mean of Kα1 and Kα2), from a DFT-relaxed cell (GGA-PBE, Alexandria).
Intensities are scaled so that the largest is 100.

Main lines, in order of rising 2θ (2θ from 15° to 90°):
- 25.9 deg, rel. 9
- 28.8 deg, rel. 21
- 32.5 deg, rel. 100
- 34.7 deg, rel. 21
- 39.2 deg, rel. 30
- 47.5 deg, rel. 7
- 53.3 deg, rel. 24
- 56.6 deg, rel. 10
- 60.8 deg, rel. 16
- 66.8 deg, rel. 25
- 68.1 deg, rel. 12
- 87.8 deg, rel. 12

Structure:
```
LiCe2Tm
1.0
3.2528 0.0000 0.0000
0.0000 3.2528 0.0000
0.0000 0.0000 10.3381
Li Ce Tm
1 2 1
direct
0.0000 0.0000 0.0000
0.5000 0.5000 0.2433
0.5000 0.5000 0.7567
0.0000 0.0000 0.5000
```

No. 3
Simulated powder X-ray diffraction pattern of DyEr3Tm6Sc2 for Cu Kα (weighted mean of Kα1 and Kα2), from a DFT-relaxed cell (GGA-PBE, Alexandria).
Intensities are scaled so that the largest is 100.

Main lines, in order of rising 2θ (2θ from 15° to 90°):
- 15.7 deg, rel. 3
- 31.7 deg, rel. 100
- 36.7 deg, rel. 50
- 52.9 deg, rel. 35
- 63.0 deg, rel. 35
- 63.1 deg, rel. 7
- 66.2 deg, rel. 12
- 78.2 deg, rel. 6
- 86.8 deg, rel. 13
- 86.8 deg, rel. 4
- 89.6 deg, rel. 8
- 89.7 deg, rel. 8

Structure:
```
DyEr3Tm6Sc2
1.0
2.9980 -5.1866 0.0000
2.9980 5.1866 0.0000
-1.9933 0.0000 11.2920
Dy Er Tm Sc
1 3 6 2
direct
0.0000 0.0000 0.0000
0.1669 0.8331 0.5000
0.5000 0.5000 0.5000
0.8331 0.1669 0.5000
0.0825 0.4179 0.2456
0.2530 0.2530 0.7545
0.4179 0.0825 0.2456
0.5821 0.9175 0.7544
0.7470 0.7470 0.2455
0.9175 0.5821 0.7544
0.3333 0.6667 0.0000
0.6667 0.3333 0.0000
```

No. 4
Simulated powder X-ray diffraction pattern of KLa2Cr2N6 for Cu Kα (weighted mean of Kα1 and Kα2), from a DFT-relaxed cell (GGA-PBE, Alexandria).
Intensities are scaled so that the largest is 100.

Main lines, in order of rising 2θ (2θ from 15° to 90°):
- 15.5 deg, rel. 41
- 17.0 deg, rel. 49
- 17.6 deg, rel. 34
- 18.8 deg, rel. 41
- 26.2 deg, rel. 76
- 26.7 deg, rel. 87
- 28.0 deg, rel. 44
- 29.6 deg, rel. 38
- 30.2 deg, rel. 100
- 30.8 deg, rel. 36
- 32.0 deg, rel. 66
- 34.8 deg, rel. 32

Structure:
```
KLa2Cr2N6
1.0
6.0620 0.0000 0.0000
-2.6132 5.8916 0.0000
-2.9952 -1.9231 5.7205
K La Cr N
1 2 2 6
direct
0.0000 0.0000 0.0000
0.4049 0.2878 0.6882
0.5951 0.7122 0.3118
0.2095 0.6735 0.6752
0.7905 0.3265 0.3248
0.1152 0.8901 0.6732
0.2422 0.5327 0.8812
0.4509 0.6992 0.6011
0.5491 0.3008 0.3989
0.7578 0.4673 0.1188
0.8848 0.1099 0.3268
```

No. 5
Simulated powder X-ray diffraction pattern of Sm6DyTm4 for Cu Kα (weighted mean of Kα1 and Kα2), from a DFT-relaxed cell (GGA-PBE, Alexandria).
Intensities are scaled so that the largest is 100.

Main lines, in order of rising 2θ (2θ from 15° to 90°):
- 28.3 deg, rel. 34
- 29.0 deg, rel. 60
- 29.5 deg, rel. 28
- 30.7 deg, rel. 100
- 31.5 deg, rel. 27
- 34.3 deg, rel. 74
- 37.0 deg, rel. 31
- 38.6 deg, rel. 28
- 40.4 deg, rel. 37
- 50.6 deg, rel. 21
- 57.5 deg, rel. 19
- 57.8 deg, rel. 36

Structure:
```
Sm6DyTm4
1.0
-3.3020 3.3020 8.5283
3.3020 -3.3020 8.5283
3.3020 3.3020 -8.5283
Sm Dy Tm
6 1 4
direct
0.0000 0.5000 0.5000
0.0127 0.6358 0.0000
0.3642 0.3642 0.3770
0.5000 0.0000 0.5000
0.6358 0.0127 0.0000
0.9873 0.9873 0.6230
0.0000 0.0000 0.0000
0.1926 0.1926 0.6408
0.4482 0.8074 0.0000
0.5518 0.5518 0.3592
0.8074 0.4482 0.0000
```

No. 6
Simulated powder X-ray diffraction pattern of Er4ScSb5 for Cu Kα (weighted mean of Kα1 and Kα2), from a DFT-relaxed cell (GGA-PBE, Alexandria).
Intensities are scaled so that the largest is 100.

Main lines, in order of rising 2θ (2θ from 15° to 90°):
- 20.8 deg, rel. 2
- 22.4 deg, rel. 2
- 29.1 deg, rel. 1
- 29.2 deg, rel. 100
- 33.6 deg, rel. 1
- 41.8 deg, rel. 75
- 51.8 deg, rel. 27
- 60.6 deg, rel. 8
- 60.7 deg, rel. 4
- 68.7 deg, rel. 23
- 68.8 deg, rel. 11
- 76.4 deg, rel. 25

Structure:
```
Er4ScSb5
1.0
-2.1610 2.1610 15.2524
2.1610 -2.1610 15.2524
2.1610 2.1610 -15.2524
Er Sc Sb
4 1 5
direct
0.0994 0.0994 0.0000
0.3012 0.3012 0.0000
0.6988 0.6988 0.0000
0.9006 0.9006 0.0000
0.5000 0.5000 0.0000
0.0000 0.0000 0.0000
0.2001 0.2001 0.0000
0.4026 0.4026 0.0000
0.5974 0.5974 0.0000
0.7999 0.7999 0.0000
```

No. 7
Simulated powder X-ray diffraction pattern of Rb3SmTe2O9 for Cu Kα (weighted mean of Kα1 and Kα2), from a DFT-relaxed cell (GGA-PBE, Alexandria).
Intensities are scaled so that the largest is 100.

Main lines, in order of rising 2θ (2θ from 15° to 90°):
- 21.0 deg, rel. 24
- 29.9 deg, rel. 100
- 30.0 deg, rel. 98
- 42.8 deg, rel. 62
- 53.0 deg, rel. 20
- 53.2 deg, rel. 59
- 62.1 deg, rel. 19
- 62.3 deg, rel. 19
- 70.4 deg, rel. 18
- 70.6 deg, rel. 18
- 85.9 deg, rel. 11
- 86.4 deg, rel. 21

Structure:
```
Rb3SmTe2O9
1.0
5.9599 0.0000 0.0000
-2.9800 5.1614 0.0000
0.0000 0.0000 7.3400
Rb Sm Te O
3 1 2 9
direct
0.0000 0.0000 0.0000
0.3333 0.6667 0.6682
0.6667 0.3333 0.3318
0.0000 0.0000 0.5000
0.3333 0.6667 0.1660
0.6667 0.3333 0.8340
0.0000 0.5000 0.0000
0.1792 0.3585 0.3103
0.1792 0.8208 0.3103
0.3585 0.1792 0.6897
0.5000 0.0000 0.0000
0.5000 0.5000 0.0000
0.6415 0.8208 0.3103
0.8208 0.1792 0.6897
0.8208 0.6415 0.6897
```